Simulated XRD peak list of Li2NiW2O8 for a wavelength of 1.5418 Å, from a GGA+U-relaxed structure.
No peak broadening, texture or thermal motion is included.

Structural model:
```
Li2NiW2O8
1.0
5.025 0.000 0.000
-2.504 5.097 0.000
-0.117 -2.110 5.509
Li Ni W O
2 1 2 8
Direct
0.044 0.082 0.248 Li
0.956 0.918 0.752 Li
0.500 0.000 0.500 Ni
0.256 0.524 0.836 W
0.744 0.476 0.164 W
0.037 0.722 0.958 O
0.037 0.762 0.424 O
0.452 0.279 0.830 O
0.495 0.247 0.309 O
0.505 0.753 0.691 O
0.548 0.721 0.170 O
0.963 0.238 0.576 O
0.963 0.278 0.042 O
```

Most intense lines, 2θ = 10–90°, by angle:
2theta	Rel. int.
18.6	100
19.8	48
23.7	50
27.6	61
28.1	61
32.3	48
32.5	53
35.7	56